Structure and simulated powder diffraction line list of Sr3Ga2Hg5Bi2 (DFT lattice parameters and positions (GGA-PBE); Cu Kα, 1.54184 Å).

Crystal structure
Cell: 16.061 16.061 16.061 Å, 163.19 163.19 23.85°
Fractional positions:
Sr: 0.000 0.000 0.000
Sr: 0.165 0.165 0.000
Sr: 0.835 0.835 0.000
Ga: 0.362 0.362 0.000
Ga: 0.638 0.638 0.000
Hg: 0.081 0.581 0.500
Hg: 0.419 0.919 0.500
Hg: 0.500 0.500 0.000
Hg: 0.581 0.081 0.500
Hg: 0.919 0.419 0.500
Bi: 0.272 0.272 0.000
Bi: 0.728 0.728 0.000

The 12 most intense peaks (2θ from 10° to 80°), low angle first:
2θ 16.9, intensity 20; 2θ 27.5, intensity 41; 2θ 29.2, intensity 46; 2θ 31.9, intensity 100; 2θ 34.2, intensity 17; 2θ 35.4, intensity 49; 2θ 38.4, intensity 65; 2θ 50.7, intensity 17; 2θ 52.3, intensity 21; 2θ 55.4, intensity 23; 2θ 59.9, intensity 21; 2θ 65.3, intensity 23

***

Structure and simulated powder diffraction line list of Tl3GaHg2Bi3 (DFT lattice parameters and positions (GGA-PBE); Cu Kα, 1.54184 Å).

Crystal structure
Cell: 7.998 7.998 4.964 Å, 90.00 90.00 120.00°
Fractional positions:
Tl: 0.000 0.584 0.000
Tl: 0.416 0.416 0.000
Tl: 0.584 0.000 0.000
Ga: 0.000 0.000 0.000
Hg: 0.333 0.667 0.500
Hg: 0.667 0.333 0.500
Bi: 0.000 0.243 0.500
Bi: 0.243 0.000 0.500
Bi: 0.757 0.757 0.500

The 12 most intense peaks (2θ from 10° to 80°), low angle first:
2θ 28.7, intensity 100; 2θ 31.5, intensity 81; 2θ 34.3, intensity 57; 2θ 36.2, intensity 35; 2θ 38.9, intensity 25; 2θ 39.0, intensity 21; 2θ 50.7, intensity 39; 2θ 51.0, intensity 16; 2θ 54.3, intensity 16; 2θ 60.6, intensity 13; 2θ 61.3, intensity 32; 2θ 64.4, intensity 15

***

Structure and simulated powder diffraction line list of Ho10Ga3Bi3 (DFT lattice parameters and positions (GGA-PBE); Cu Kα, 1.54184 Å).

Crystal structure
Cell: 8.818 8.818 6.525 Å, 90.00 90.00 120.00°
Fractional positions:
Ho: 0.000 0.235 0.000
Ho: 0.000 0.762 0.500
Ho: 0.235 0.000 0.000
Ho: 0.238 0.238 0.500
Ho: 0.333 0.667 0.264
Ho: 0.333 0.667 0.736
Ho: 0.667 0.333 0.264
Ho: 0.667 0.333 0.736
Ho: 0.762 0.000 0.500
Ho: 0.765 0.765 0.000
Ga: 0.000 0.393 0.500
Ga: 0.393 0.000 0.500
Ga: 0.607 0.607 0.500
Bi: 0.000 0.601 0.000
Bi: 0.399 0.399 0.000
Bi: 0.601 0.000 0.000

The 12 most intense peaks (2θ from 10° to 80°), low angle first:
2θ 27.3, intensity 18; 2θ 29.8, intensity 18; 2θ 31.0, intensity 34; 2θ 34.0, intensity 100; 2θ 34.2, intensity 75; 2θ 35.3, intensity 34; 2θ 45.0, intensity 10; 2θ 49.9, intensity 17; 2θ 52.7, intensity 29; 2θ 55.8, intensity 12; 2θ 56.4, intensity 10; 2θ 67.7, intensity 19